[1]
For LiPuTl2S4, DFT lattice parameters and positions (GGA-PBE) gives the theoretical powder XRD pattern in this record (Cu Ka).
Intensities are scaled so that the largest is 100.

Structural model:
Unit cell a=6.663 b=4.019 c=7.660 alpha=90.00 beta=106.79 gamma=90.00
Sites, in units of the cell vectors:
Li1 0.000 0.000 0.000
Pu1 0.500 0.500 0.000
Tl1 0.000 0.500 0.500
Tl2 0.500 0.000 0.500
S1 0.252 0.500 0.197
S2 0.275 0.000 0.806
S3 0.725 0.000 0.194
S4 0.748 0.500 0.803

Principal peaks in the range 10° ≤ 2θ ≤ 90°, low angle first:
two_theta	I (rel.)	(hkl)
24.27	50	0 0 2
27.15	64	1 1 -1
30.64	100	1 1 1
31.41	50	2 0 -2
42.07	37	1 1 -3
46.73	32	3 1 -1


[2]
For Ac4NiHg2Ir, DFT lattice parameters and positions (GGA-PBE) gives the theoretical powder XRD pattern in this record (Cu Ka).
Intensities are scaled so that the largest is 100.

Structural model:
Unit cell a=7.444 b=4.313 c=8.640 alpha=90.00 beta=106.88 gamma=90.00
Sites, in units of the cell vectors:
Ac1 0.233 0.000 0.202
Ac2 0.264 0.500 0.799
Ac3 0.736 0.500 0.201
Ac4 0.767 0.000 0.798
Ni1 0.500 0.000 0.000
Hg1 0.000 0.000 0.500
Hg2 0.500 0.500 0.500
Ir1 0.000 0.500 0.000

Principal peaks in the range 10° ≤ 2θ ≤ 90°, low angle first:
two_theta	I (rel.)	(hkl)
27.92	100	1 1 1
37.69	23	1 1 -3
41.89	13	0 2 0
42.01	25	3 1 -1
51.10	13	2 2 -2
53.99	15	2 0 -5